Entry 1:
Theoretical powder diffractogram of Er12HfTl3 for Cu Kα (weighted mean of Kα1 and Kα2), from a crystal structure in Alexandria, relaxed with GGA-PBE.
Kinematic intensities with the Lorentz-polarization factor, no thermal factor.

Crystal structure
```
Er12HfTl3
1.0
4.7925 0.0000 0.0000
0.0000 4.7925 0.0000
0.0000 0.0000 19.4737
Er Hf Tl
12 1 3
direct
0.0000 0.0000 0.0000 Er
0.0000 0.0000 0.2488 Er
0.0000 0.0000 0.5000 Er
0.0000 0.0000 0.7512 Er
0.0000 0.5000 0.1246 Er
0.0000 0.5000 0.3776 Er
0.0000 0.5000 0.6224 Er
0.0000 0.5000 0.8754 Er
0.5000 0.0000 0.1246 Er
0.5000 0.0000 0.3776 Er
0.5000 0.0000 0.6224 Er
0.5000 0.0000 0.8754 Er
0.5000 0.5000 0.5000 Hf
0.5000 0.5000 0.0000 Tl
0.5000 0.5000 0.2469 Tl
0.5000 0.5000 0.7531 Tl
```

Principal peaks in the range 15 to 90 degrees two-theta, by angle:
- 2θ 32.18, rel. 100
- 2θ 36.93, rel. 17
- 2θ 37.53, rel. 33
- 2θ 53.67, rel. 24
- 2θ 54.13, rel. 12
- 2θ 63.57, rel. 14
- 2θ 64.38, rel. 28
- 2θ 67.33, rel. 12
- 2θ 88.22, rel. 12
- 2θ 88.95, rel. 6

***

Entry 2:
Theoretical powder diffractogram of LiAcMg2Cd2 for Cu Kα (weighted mean of Kα1 and Kα2), from a crystal structure in Alexandria, relaxed with GGA-PBE.
Kinematic intensities with the Lorentz-polarization factor, no thermal factor.

Crystal structure
```
LiAcMg2Cd2
1.0
5.0139 0.0000 0.0000
-2.5070 4.3422 0.0000
0.0000 0.0000 7.2115
Li Ac Mg Cd
1 1 2 2
direct
0.0000 0.0000 0.0000 Li
0.0000 0.0000 0.5000 Ac
0.3333 0.6667 0.1720 Mg
0.6667 0.3333 0.8280 Mg
0.3333 0.6667 0.7605 Cd
0.6667 0.3333 0.2395 Cd
```

Principal peaks in the range 15 to 90 degrees two-theta, by angle:
- 2θ 23.92, rel. 100
- 2θ 32.27, rel. 73
- 2θ 35.82, rel. 57
- 2θ 43.01, rel. 17
- 2θ 43.53, rel. 21
- 2θ 48.97, rel. 23
- 2θ 52.76, rel. 14
- 2θ 57.60, rel. 18
- 2θ 62.14, rel. 22
- 2θ 63.56, rel. 15

***

Entry 3:
Theoretical powder diffractogram of DyAlSi2Ni4 for Cu Kα (weighted mean of Kα1 and Kα2), from a crystal structure in Alexandria, relaxed with GGA-PBE.
Kinematic intensities with the Lorentz-polarization factor, no thermal factor.

Crystal structure
```
DyAlSi2Ni4
1.0
1.9735 1.1394 8.1917
-1.9735 1.1394 8.1917
0.0000 -2.2788 8.1917
Dy Al Si Ni
1 1 2 4
direct
0.0000 0.0000 0.0000 Dy
0.5000 0.5000 0.5000 Al
0.2432 0.2432 0.2432 Si
0.7568 0.7568 0.7568 Si
0.1325 0.1325 0.1325 Ni
0.4066 0.4066 0.4066 Ni
0.5934 0.5934 0.5934 Ni
0.8675 0.8675 0.8675 Ni
```

Principal peaks in the range 15 to 90 degrees two-theta, by angle:
- 2θ 26.32, rel. 23
- 2θ 27.08, rel. 47
- 2θ 31.89, rel. 46
- 2θ 36.69, rel. 72
- 2θ 39.44, rel. 80
- 2θ 45.99, rel. 100
- 2θ 60.22, rel. 16
- 2θ 62.15, rel. 20
- 2θ 75.41, rel. 19
- 2θ 80.68, rel. 19

***

Entry 4:
Theoretical powder diffractogram of Cr2CuS4 for Cu Kα (weighted mean of Kα1 and Kα2), from a crystal structure in Alexandria, relaxed with GGA-PBE.
Kinematic intensities with the Lorentz-polarization factor, no thermal factor.

Crystal structure
```
Cr2CuS4
1.0
6.8587 0.0000 0.0000
0.0000 12.0471 0.0000
0.0000 0.0000 5.9262
Cr Cu S
8 4 16
direct
0.0000 0.0000 0.0000 Cr
0.0000 0.5000 0.0000 Cr
0.2500 0.0077 0.4992 Cr
0.2500 0.4923 0.4992 Cr
0.5000 0.0000 0.0000 Cr
0.5000 0.5000 0.0000 Cr
0.7500 0.5077 0.5008 Cr
0.7500 0.9923 0.5008 Cr
0.2500 0.2500 0.1097 Cu
0.2500 0.7500 0.4603 Cu
0.7500 0.2500 0.5397 Cu
0.7500 0.7500 0.8903 Cu
0.0004 0.1137 0.3329 S
0.0004 0.3863 0.3329 S
0.9996 0.6137 0.6671 S
0.9996 0.8863 0.6671 S
0.2500 0.1088 0.8444 S
0.2500 0.3912 0.8444 S
0.2500 0.6076 0.1771 S
0.2500 0.8924 0.1771 S
0.4996 0.1137 0.3329 S
0.4996 0.3863 0.3329 S
0.5004 0.6137 0.6671 S
0.5004 0.8863 0.6671 S
0.7500 0.1076 0.8229 S
0.7500 0.3924 0.8229 S
0.7500 0.6088 0.1556 S
0.7500 0.8912 0.1556 S
```

Principal peaks in the range 15 to 90 degrees two-theta, by angle:
- 2θ 21.14, rel. 47
- 2θ 29.87, rel. 23
- 2θ 31.03, rel. 20
- 2θ 33.67, rel. 39
- 2θ 37.71, rel. 67
- 2θ 42.79, rel. 100
- 2θ 53.44, rel. 23
- 2θ 53.54, rel. 37
- 2θ 55.24, rel. 19
- 2θ 85.95, rel. 22

***

Entry 5:
Theoretical powder diffractogram of TlSbS4 for Cu Kα (weighted mean of Kα1 and Kα2), from a crystal structure in Alexandria, relaxed with GGA-PBE.
Kinematic intensities with the Lorentz-polarization factor, no thermal factor.

Crystal structure
```
TlSbS4
1.0
7.4709 0.0000 0.0000
0.0000 8.6722 0.0000
-2.2373 0.0000 6.1614
Tl Sb S
2 2 8
direct
0.0000 0.1665 0.2500 Tl
0.0000 0.8335 0.7500 Tl
0.5000 0.1067 0.7500 Sb
0.5000 0.8933 0.2500 Sb
0.1356 0.4858 0.5427 S
0.1356 0.5142 0.0427 S
0.2818 0.0789 0.0064 S
0.2818 0.9211 0.5064 S
0.7182 0.0789 0.4936 S
0.7182 0.9211 0.9936 S
0.8644 0.4858 0.9573 S
0.8644 0.5142 0.4573 S
```

Principal peaks in the range 15 to 90 degrees two-theta, by angle:
- 2θ 18.64, rel. 100
- 2θ 24.49, rel. 84
- 2θ 25.37, rel. 31
- 2θ 25.83, rel. 50
- 2θ 30.39, rel. 82
- 2θ 30.93, rel. 30
- 2θ 31.42, rel. 38
- 2θ 33.12, rel. 40
- 2θ 41.85, rel. 31
- 2θ 46.59, rel. 32

***

Entry 6:
Theoretical powder diffractogram of BiSb2Au4 for Cu Kα (weighted mean of Kα1 and Kα2), from a crystal structure in Alexandria, relaxed with GGA-PBE.
Kinematic intensities with the Lorentz-polarization factor, no thermal factor.

Crystal structure
```
BiSb2Au4
1.0
4.2362 0.0000 0.0000
0.0000 10.5491 0.0000
-0.1576 0.0000 8.1520
Bi Sb Au
2 4 8
direct
0.0055 0.2500 0.2375 Bi
0.9945 0.7500 0.7625 Bi
0.4958 0.0821 0.7822 Sb
0.4958 0.4179 0.7822 Sb
0.5042 0.5821 0.2178 Sb
0.5042 0.9179 0.2178 Sb
0.0000 0.0000 0.0000 Au
0.9996 0.2500 0.8575 Au
0.0000 0.5000 0.0000 Au
0.0004 0.7500 0.1425 Au
0.4846 0.6212 0.5625 Au
0.4846 0.8788 0.5625 Au
0.5154 0.1212 0.4375 Au
0.5154 0.3788 0.4375 Au
```

Principal peaks in the range 15 to 90 degrees two-theta, by angle:
- 2θ 23.44, rel. 100
- 2θ 23.86, rel. 58
- 2θ 34.70, rel. 30
- 2θ 35.23, rel. 30
- 2θ 35.79, rel. 44
- 2θ 40.00, rel. 29
- 2θ 40.28, rel. 98
- 2θ 40.71, rel. 30
- 2θ 42.02, rel. 36
- 2θ 42.72, rel. 59